(1)
Starting from a crystal structure in Alexandria, relaxed with PBE, the XRD peak list of Tb3PmEr6 was calculated for CuKα.

Atomic structure:
```
data_Tb3PmEr6
_cell_length_a 9.7879
_cell_length_b 9.7879
_cell_length_c 11.5771
_cell_angle_alpha 90.00
_cell_angle_beta 90.00
_cell_angle_gamma 120.00
_symmetry_space_group_name_H-M 'R 3'
_symmetry_Int_Tables_number 146
_symmetry_space_group_name_Hall 'R 3'
loop_
_atom_site_label
_atom_site_type_symbol
_atom_site_fract_x
_atom_site_fract_y
_atom_site_fract_z
Tb1 Tb 0.0000 0.0000 0.0000
Tb2 Tb 0.0000 0.0000 0.2456
Tb3 Tb 0.0000 0.0000 0.7488
Pm1 Pm 0.0000 0.0000 0.5010
Er1 Er 0.0007 0.3363 0.1732
Er2 Er 0.0023 0.6644 0.6734
```

Main lines, in order of rising 2θ (5 to 70 degrees two-theta):
2θ/deg	I_rel	index
29.48	68	1 1 3
31.67	100	3 0 0
32.69	14	1 0 4
42.07	13	2 1 4
43.81	23	4 -2 3
49.98	9	4 -3 4
55.06	24	4 1 3
56.40	20	3 3 0
57.87	14	3 0 6
66.14	12	6 0 0



(2)
Starting from a crystal structure in Alexandria, relaxed with PBE, the XRD peak list of K6Au3S was calculated for CuKα.

Atomic structure:
```
data_K6Au3S
_cell_length_a 9.5636
_cell_length_b 13.3663
_cell_length_c 5.6020
_cell_angle_alpha 90.00
_cell_angle_beta 90.00
_cell_angle_gamma 90.00
_symmetry_space_group_name_H-M 'P n n m'
_symmetry_Int_Tables_number 58
_symmetry_space_group_name_Hall '-P 2 2n'
loop_
_atom_site_label
_atom_site_type_symbol
_atom_site_fract_x
_atom_site_fract_y
_atom_site_fract_z
K1 K 0.0174 0.2379 0.0000
K2 K 0.1524 0.0814 0.5000
K3 K 0.1824 0.4361 0.5000
Au1 Au 0.0000 0.5000 0.0000
Au2 Au 0.1340 0.6966 0.5000
S1 S 0.0000 0.0000 0.0000
```

Main lines, in order of rising 2θ (5 to 70 degrees two-theta):
2θ/deg	I_rel	index
11.38	91	1 1 0
19.53	53	1 1 1
19.72	43	2 1 0
22.70	71	1 2 1
25.55	69	0 3 1
27.22	47	1 3 1
27.93	32	2 2 1
31.95	63	0 0 2
32.31	100	3 0 1
36.52	32	2 4 1



(3)
Starting from a crystal structure in Alexandria, relaxed with PBE, the XRD peak list of Na2HfAuS4 was calculated for CuKα.

Atomic structure:
```
data_Na2HfAuS4
_cell_length_a 7.3006
_cell_length_b 7.3006
_cell_length_c 6.3948
_cell_angle_alpha 90.00
_cell_angle_beta 90.00
_cell_angle_gamma 90.00
_symmetry_space_group_name_H-M 'I -4 2 m'
_symmetry_Int_Tables_number 121
_symmetry_space_group_name_Hall 'I -4 2'
loop_
_atom_site_label
_atom_site_type_symbol
_atom_site_fract_x
_atom_site_fract_y
_atom_site_fract_z
Na1 Na 0.0000 0.5000 0.0000
Hf1 Hf 0.0000 0.0000 0.0000
Au1 Au 0.0000 0.0000 0.5000
S1 S 0.1843 0.1843 0.2317
```

Main lines, in order of rising 2θ (5 to 70 degrees two-theta):
2θ/deg	I_rel	index
17.18	100	1 1 0
24.38	40	2 0 0
32.95	32	1 1 2
34.76	35	2 2 0
37.39	64	2 0 2
39.01	17	3 1 0
45.14	20	2 2 2
48.65	33	3 1 2
56.36	14	4 2 0
64.04	18	4 2 2